Calculated X-ray powder pattern of K3Y2AlO6 for a wavelength of 1.5418 Å, from a crystal structure in Alexandria, relaxed with PBE.
Lines closer than 0.1° are merged.

Structure:
```
K3Y2AlO6
1.0
2.8834 -4.9961 0.0000
2.8834 4.9961 0.0000
-1.9178 0.0000 6.2065
K Y Al O
3 2 1 6
Cartesian
0.0000 0.0000 0.0000 K
2.8834 1.6297 0.0000 K
2.8834 -1.6297 0.0000 K
1.9245 3.3291 3.1033 Y
1.9245 -3.3291 3.1033 Y
1.9245 0.0000 3.1033 Al
1.0596 1.4988 2.0001 O
0.1974 0.0000 4.1999 O
1.0596 -1.4988 2.0001 O
2.7895 1.4988 4.2065 O
3.6517 0.0000 2.0066 O
2.7895 -1.4988 4.2065 O
```

The 10 most intense peaks (15° ≤ 2θ ≤ 90°), in order of rising 2θ:
2θ 28.77, I 28
2θ 32.50, I 48
2θ 36.66, I 100
2θ 46.44, I 9
2θ 50.38, I 29
2θ 55.16, I 28
2θ 59.05, I 15
2θ 63.40, I 18
2θ 68.07, I 13
2θ 85.55, I 9


Calculated X-ray powder pattern of K3Y3AlO8 for a wavelength of 1.5418 Å, from a crystal structure in Alexandria, relaxed with PBE.
Lines closer than 0.1° are merged.

Structure:
```
K3Y3AlO8
1.0
3.3688 1.9450 6.2739
-3.3688 1.9450 6.2739
0.0000 -3.8899 6.2739
K Y Al O
3 3 1 8
Cartesian
-1.6844 -0.9725 6.2739 K
-1.6844 0.9725 12.5478 K
0.0000 1.9450 6.2739 K
-3.3688 0.0000 9.4109 Y
-1.6844 0.9725 3.1370 Y
1.6844 0.9725 3.1370 Y
0.0000 0.0000 9.4109 Al
0.0000 0.0000 4.2964 O
-1.4929 -0.8619 10.4626 O
0.0000 -1.7239 8.3592 O
-1.4929 0.8619 8.3592 O
1.4929 -0.8619 10.4626 O
0.0000 1.7239 10.4626 O
1.4929 0.8619 8.3592 O
0.0000 0.0000 14.5254 O
```

The 10 most intense peaks (15° ≤ 2θ ≤ 90°), in order of rising 2θ:
2θ 17.89, I 22
2θ 28.45, I 28
2θ 31.02, I 14
2θ 32.12, I 46
2θ 36.23, I 100
2θ 45.90, I 15
2θ 49.79, I 29
2θ 54.48, I 29
2θ 58.34, I 16
2θ 62.60, I 18


Calculated X-ray powder pattern of KAlPS4 for a wavelength of 1.5418 Å, from a crystal structure in Alexandria, relaxed with PBE.
Lines closer than 0.1° are merged.

Structure:
```
KAlPS4
1.0
6.6646 0.0000 0.0000
0.0000 6.6646 0.0000
0.0000 0.0000 8.4622
K Al P S
2 2 2 8
Cartesian
0.0000 0.0000 0.0000 K
3.3323 3.3323 4.2311 K
0.0000 0.0000 4.2311 Al
3.3323 3.3323 0.0000 Al
0.0000 3.3323 2.1155 P
3.3323 0.0000 6.3466 P
1.0696 5.0699 3.0063 S
1.5947 1.0696 5.4559 S
1.7376 2.2627 1.2248 S
2.2627 4.9270 7.2374 S
4.4019 1.7376 7.2374 S
4.9270 4.4019 1.2248 S
5.0699 5.5950 5.4559 S
5.5950 1.5947 3.0063 S
```

The 10 most intense peaks (15° ≤ 2θ ≤ 90°), in order of rising 2θ:
2θ 16.93, I 60
2θ 18.83, I 11
2θ 28.35, I 100
2θ 31.83, I 35
2θ 34.25, I 13
2θ 38.19, I 23
2θ 44.21, I 13
2θ 48.24, I 23
2θ 50.54, I 16
2θ 51.14, I 25


Calculated X-ray powder pattern of K2PmAlTe4 for a wavelength of 1.5418 Å, from a crystal structure in Alexandria, relaxed with PBE.
Lines closer than 0.1° are merged.

Structure:
```
K2PmAlTe4
1.0
-4.4327 4.7326 6.5555
4.4327 -4.7326 6.5555
4.4327 4.7326 -6.5555
K Pm Al Te
4 2 2 8
Cartesian
0.0000 0.0000 0.0000 K
-2.2163 2.3663 3.2777 K
0.0000 4.7326 0.0000 K
2.2163 2.3663 3.2777 K
4.4327 0.0000 0.0000 Pm
0.0000 0.0000 6.5555 Pm
2.2163 2.3663 -3.2777 Al
2.2163 -2.3663 3.2777 Al
4.4327 -0.4641 3.1840 Te
4.4327 4.2685 -3.1840 Te
2.3488 2.3663 -0.2899 Te
6.5165 2.3663 -0.2899 Te
-2.0838 2.3663 6.8454 Te
2.0838 2.3663 6.8454 Te
0.0000 0.4641 9.7395 Te
0.0000 5.1967 3.3714 Te
```

The 10 most intense peaks (15° ≤ 2θ ≤ 90°), in order of rising 2θ:
2θ 27.21, I 53
2θ 27.57, I 100
2θ 35.57, I 15
2θ 38.03, I 15
2θ 39.12, I 69
2θ 40.71, I 20
2θ 47.38, I 16
2θ 49.66, I 29
2θ 56.93, I 15
2θ 64.23, I 17


Calculated X-ray powder pattern of K4Rb2AlSn2 for a wavelength of 1.5418 Å, from a crystal structure in Alexandria, relaxed with PBE.
Lines closer than 0.1° are merged.

Structure:
```
K4Rb2AlSn2
1.0
7.6800 -4.2940 0.0000
7.6800 4.2940 0.0000
-1.7388 0.0000 6.1557
K Rb Al Sn
4 2 1 2
Cartesian
4.2773 2.3710 5.0059 K
9.3440 2.3710 1.1499 K
4.2773 -2.3710 5.0059 K
9.3440 -2.3710 1.1499 K
4.9850 0.0000 1.8409 Rb
8.6362 0.0000 4.3148 Rb
-0.8694 0.0000 3.0779 Al
1.3917 0.0000 4.4081 Sn
12.2295 0.0000 1.7477 Sn
```

The 10 most intense peaks (15° ≤ 2θ ≤ 90°), in order of rising 2θ:
2θ 16.04, I 25
2θ 20.70, I 34
2θ 24.08, I 40
2θ 26.28, I 100
2θ 28.22, I 41
2θ 29.01, I 33
2θ 29.75, I 82
2θ 32.27, I 40
2θ 49.24, I 23
2θ 49.35, I 26


Calculated X-ray powder pattern of KAlRu3 for a wavelength of 1.5418 Å, from a crystal structure in Alexandria, relaxed with PBE.
Lines closer than 0.1° are merged.

Structure:
```
KAlRu3
1.0
4.6561 0.0000 0.0000
0.0000 4.6561 0.0000
0.0000 0.0000 4.6561
K Al Ru
1 1 3
Cartesian
0.0000 0.0000 0.0000 K
2.3280 2.3280 2.3280 Al
0.0000 2.3280 2.3280 Ru
2.3280 0.0000 2.3280 Ru
2.3280 2.3280 0.0000 Ru
```

The 10 most intense peaks (15° ≤ 2θ ≤ 90°), in order of rising 2θ:
2θ 19.06, I 24
2θ 33.33, I 100
2θ 38.68, I 67
2θ 43.46, I 11
2θ 55.85, I 45
2θ 59.57, I 6
2θ 66.62, I 38
2θ 70.00, I 15
2θ 82.95, I 7
2θ 86.11, I 3


Calculated X-ray powder pattern of KAlS2 for a wavelength of 1.5418 Å, from a crystal structure in Alexandria, relaxed with PBE.
Lines closer than 0.1° are merged.

Structure:
```
KAlS2
1.0
6.4912 0.0000 0.0000
0.0000 9.9739 0.0000
0.0000 0.0000 6.4582
K Al S
4 4 8
Cartesian
0.0198 1.2313 0.0000 K
3.2258 6.2183 3.2291 K
3.2654 3.7556 0.0000 K
6.4714 8.7426 3.2291 K
0.2923 3.7368 2.9506 Al
2.9533 8.7238 6.1797 Al
3.5378 1.2501 2.9506 Al
6.1989 6.2371 6.1797 Al
0.1158 4.2413 0.7298 S
0.7842 8.1796 0.1855 S
2.4614 3.1927 3.4146 S
3.1298 9.2283 3.9589 S
3.3614 0.7456 0.7298 S
4.0298 6.7812 0.1855 S
5.7070 1.7943 3.4146 S
6.3753 5.7326 3.9589 S
```

The 10 most intense peaks (15° ≤ 2θ ≤ 90°), in order of rising 2θ:
2θ 26.43, I 61
2θ 27.48, I 88
2θ 27.62, I 100
2θ 30.22, I 60
2θ 32.19, I 30
2θ 36.02, I 30
2θ 39.36, I 31
2θ 41.30, I 26
2θ 45.94, I 42
2θ 48.13, I 43


Calculated X-ray powder pattern of KAl4S7 for a wavelength of 1.5418 Å, from a crystal structure in Alexandria, relaxed with PBE.
Lines closer than 0.1° are merged.

Structure:
```
KAl4S7
1.0
15.1229 0.0000 0.0000
0.0000 6.4216 0.0000
0.0000 0.0000 6.0073
K Al S
2 8 14
Cartesian
0.0000 1.2479 0.0000 K
7.5614 5.1737 3.0036 K
1.8544 4.2842 3.4452 Al
3.7593 1.1624 3.3289 Al
3.8021 5.2593 0.3252 Al
5.7070 2.1374 0.4416 Al
9.4158 2.1374 0.4416 Al
11.3208 5.2593 0.3252 Al
11.3635 1.1624 3.3289 Al
13.2685 4.2842 3.4452 Al
0.0000 5.3723 2.7147 S
1.8172 4.4677 5.6871 S
1.8423 2.1533 2.7618 S
3.7324 5.3785 2.6458 S
3.8291 1.0432 5.6495 S
5.7191 4.2684 5.7654 S
5.7442 1.9539 2.6835 S
7.5614 1.0493 5.7184 S
9.3787 1.9539 2.6835 S
9.4037 4.2684 5.7654 S
11.2938 1.0432 5.6495 S
11.3905 5.3785 2.6458 S
13.2806 2.1533 2.7618 S
13.3056 4.4677 5.6871 S
```

The 10 most intense peaks (15° ≤ 2θ ≤ 90°), in order of rising 2θ:
2θ 23.44, I 27
2θ 27.37, I 69
2θ 27.78, I 56
2θ 29.74, I 88
2θ 31.23, I 100
2θ 31.60, I 38
2θ 48.14, I 30
2θ 48.90, I 56
2θ 53.73, I 47
2θ 58.29, I 39


Calculated X-ray powder pattern of KAl6S8 for a wavelength of 1.5418 Å, from a crystal structure in Alexandria, relaxed with PBE.
Lines closer than 0.1° are merged.

Structure:
```
KAl6S8
1.0
4.8179 2.7816 3.8521
-4.8179 2.7816 3.8521
0.0000 -5.5633 3.8521
K Al S
1 6 8
Cartesian
0.0000 0.0000 0.0000 K
-1.7217 -0.0343 4.5115 Al
0.8905 -1.4739 4.5115 Al
-0.8312 -1.5082 7.0447 Al
0.8312 1.5082 4.5115 Al
-0.8905 1.4739 7.0447 Al
1.7217 0.0343 7.0446 Al
-1.3094 -2.4879 4.8086 S
0.0000 0.0000 2.9583 S
-2.8093 -0.1100 6.7475 S
-1.4999 2.3779 4.8086 S
1.4999 -2.3779 6.7475 S
2.8093 0.1100 4.8086 S
0.0000 0.0000 8.5979 S
1.3094 2.4879 6.7475 S
```

The 10 most intense peaks (15° ≤ 2θ ≤ 90°), in order of rising 2θ:
2θ 22.66, I 41
2θ 29.35, I 69
2θ 29.69, I 87
2θ 32.18, I 100
2θ 37.88, I 34
2θ 39.72, I 30
2θ 42.43, I 60
2θ 44.35, I 98
2θ 50.20, I 34
2θ 57.77, I 39


Calculated X-ray powder pattern of K2AlTeS4 for a wavelength of 1.5418 Å, from a crystal structure in Alexandria, relaxed with PBE.
Lines closer than 0.1° are merged.

Structure:
```
K2AlTeS4
1.0
0.0000 7.3357 10.6509
3.3644 0.0000 10.6509
3.3644 7.3357 0.0000
K Al Te S
4 2 2 8
Cartesian
2.5233 5.5018 1.1342 K
4.2055 9.1697 6.4597 K
2.5233 5.5018 14.8422 K
4.2055 9.1697 20.1677 K
2.5233 5.5018 7.9882 Al
4.2055 9.1697 13.3137 Al
0.8411 1.8339 2.6627 Te
5.8877 12.8375 18.6392 Te
3.9316 3.9539 7.0871 S
3.9316 7.0497 8.8893 S
5.6138 7.6217 14.2148 S
5.6138 10.7176 12.4126 S
1.1150 3.9539 8.8893 S
1.1150 7.0497 7.0871 S
2.7973 7.6217 12.4126 S
2.7973 10.7176 14.2148 S
```

The 10 most intense peaks (15° ≤ 2θ ≤ 90°), in order of rising 2θ:
2θ 15.07, I 40
2θ 16.65, I 100
2θ 22.86, I 73
2θ 27.92, I 70
2θ 29.20, I 52
2θ 30.84, I 83
2θ 36.80, I 34
2θ 37.24, I 45
2θ 44.59, I 46
2θ 45.88, I 32


Calculated X-ray powder pattern of K2YAlS4 for a wavelength of 1.5418 Å, from a crystal structure in Alexandria, relaxed with PBE.
Lines closer than 0.1° are merged.

Structure:
```
K2YAlS4
1.0
-3.9331 4.1507 5.7418
3.9331 -4.1507 5.7418
3.9331 4.1507 -5.7418
K Y Al S
4 2 2 8
Cartesian
0.0000 0.0000 0.0000 K
-1.9666 2.0754 2.8709 K
0.0000 4.1507 0.0000 K
1.9666 2.0754 2.8709 K
3.9331 0.0000 0.0000 Y
0.0000 0.0000 5.7418 Y
1.9666 2.0754 -2.8709 Al
1.9666 -2.0754 2.8709 Al
3.9331 -0.4234 2.7637 S
3.9331 3.7273 -2.7637 S
2.1354 2.0754 -0.3030 S
5.7309 2.0754 -0.3030 S
-1.7977 2.0754 6.0448 S
1.7977 2.0754 6.0448 S
0.0000 0.4234 8.5055 S
0.0000 4.5741 2.9781 S
```

The 10 most intense peaks (15° ≤ 2θ ≤ 90°), in order of rising 2θ:
2θ 26.50, I 10
2θ 31.15, I 51
2θ 31.33, I 100
2θ 43.61, I 15
2θ 44.77, I 62
2θ 46.16, I 16
2θ 54.56, I 13
2θ 56.74, I 15
2θ 73.90, I 10
2θ 74.19, I 10


Calculated X-ray powder pattern of KAlSb2 for a wavelength of 1.5418 Å, from a crystal structure in Alexandria, relaxed with PBE.
Lines closer than 0.1° are merged.

Structure:
```
KAlSb2
1.0
6.4523 0.0000 0.0000
0.0000 6.0461 0.0000
-0.5410 0.0000 15.8395
K Al Sb
4 4 8
Cartesian
0.1698 0.7516 5.9071 K
-0.1007 5.2945 13.8269 K
6.0120 0.7516 2.0126 K
5.7415 5.2945 9.9324 K
2.8685 2.8592 9.8662 Al
3.1390 3.1869 1.9465 Al
2.7723 2.8592 13.8930 Al
3.0428 3.1869 5.9733 Al
1.1023 2.2641 11.8322 Sb
1.3727 3.7820 3.9125 Sb
2.5731 1.2686 0.0946 Sb
2.3026 4.7775 8.0143 Sb
3.6087 1.2686 7.8252 Sb
3.3382 4.7775 15.7449 Sb
4.5385 2.2641 11.9270 Sb
4.8090 3.7820 4.0073 Sb
```

The 10 most intense peaks (15° ≤ 2θ ≤ 90°), in order of rising 2θ:
2θ 15.69, I 33
2θ 17.44, I 44
2θ 18.03, I 34
2θ 18.46, I 74
2θ 22.41, I 100
2θ 30.09, I 43
2θ 30.28, I 31
2θ 31.79, I 73
2θ 36.32, I 30
2θ 37.20, I 25


Copy entry 12 word for word.
Calculated X-ray powder pattern of KAlSb2 for a wavelength of 1.5418 Å, from a crystal structure in Alexandria, relaxed with PBE.
Lines closer than 0.1° are merged.

Structure:
```
KAlSb2
1.0
6.4523 0.0000 0.0000
0.0000 6.0461 0.0000
-0.5410 0.0000 15.8395
K Al Sb
4 4 8
Cartesian
0.1698 0.7516 5.9071 K
-0.1007 5.2945 13.8269 K
6.0120 0.7516 2.0126 K
5.7415 5.2945 9.9324 K
2.8685 2.8592 9.8662 Al
3.1390 3.1869 1.9465 Al
2.7723 2.8592 13.8930 Al
3.0428 3.1869 5.9733 Al
1.1023 2.2641 11.8322 Sb
1.3727 3.7820 3.9125 Sb
2.5731 1.2686 0.0946 Sb
2.3026 4.7775 8.0143 Sb
3.6087 1.2686 7.8252 Sb
3.3382 4.7775 15.7449 Sb
4.5385 2.2641 11.9270 Sb
4.8090 3.7820 4.0073 Sb
```

The 10 most intense peaks (15° ≤ 2θ ≤ 90°), in order of rising 2θ:
2θ 15.69, I 33
2θ 17.44, I 44
2θ 18.03, I 34
2θ 18.46, I 74
2θ 22.41, I 100
2θ 30.09, I 43
2θ 30.28, I 31
2θ 31.79, I 73
2θ 36.32, I 30
2θ 37.20, I 25